The following is a theoretical powder diffractogram of SrCaO3. It was derived from a crystal structure in the Materials Project, relaxed with GGA-PBE, using copper Kα.
Intensities are scaled so that the largest is 100.

Most intense lines, 10 to 90 degrees two-theta, in order of rising 2θ:
index, Position (°2θ), d [Å], I (rel.)
1 0 0, 20.29, 4.376, 6
1 1 0, 28.85, 3.095, 100
1 1 1, 35.53, 2.527, 27
2 0 0, 41.26, 2.188, 46
2 1 1, 51.12, 1.787, 40
2 2 0, 59.77, 1.547, 27
3 1 0, 67.70, 1.384, 17
3 1 1, 71.50, 1.320, 8
2 2 2, 75.21, 1.263, 9
3 2 1, 82.46, 1.170, 20

a = 4.376 Å, b = 4.376 Å, c = 4.376 Å
α = 90.00°, β = 90.00°, γ = 90.00°
Space group Pm-3m (No. 221)
Inequivalent atoms, fractional coordinates:
Sr 0.000 0.000 0.000 x1
Ca 0.500 0.500 0.500 x1
O 0.000 0.500 0.500 x3

***

The following is a theoretical powder diffractogram of CrGa7P8. It was derived from a crystal structure in the Materials Project, relaxed with GGA-PBE, using copper Kα.
Intensities are scaled so that the largest is 100.

Most intense lines, 10 to 90 degrees two-theta, in order of rising 2θ:
index, Position (°2θ), d [Å], I (rel.)
1 1 2, 28.16, 3.169, 100
2 0 0, 32.63, 2.744, 14
2 2 0, 46.81, 1.941, 61
3 1 2, 55.53, 1.655, 42
2 2 4, 58.23, 1.584, 3
0 0 8, 68.28, 1.374, 3
4 0 0, 68.40, 1.371, 6
3 3 2, 75.50, 1.259, 16
4 0 4, 77.80, 1.228, 3
4 2 4, 86.96, 1.120, 20

a = 5.486 Å, b = 5.486 Å, c = 10.989 Å
α = 90.00°, β = 90.00°, γ = 90.00°
Space group P-42m (No. 111)
Inequivalent atoms, fractional coordinates:
Cr 0.000 0.000 0.000 x1
Ga 0.000 0.000 0.500 x1
Ga 0.000 0.500 0.250 x4
Ga 0.500 0.500 0.000 x1
Ga 0.500 0.500 0.500 x1
P 0.247 0.247 0.124 x4
P 0.250 0.250 0.625 x4